# 1
Starting from a crystal structure in Alexandria, relaxed with GGA+U, the X-ray diffraction stick pattern of Li2Co3O6 was computed for Cu Kα (weighted mean of Kα1 and Kα2).
Kinematic intensities with the Lorentz-polarization factor, no thermal factor.

Top 6 peaks for 10° ≤ 2θ ≤ 80°, low angle first:
hkl 0 0 2, 18.24 deg, intensity 100; hkl 3 1 0, 37.99 deg, intensity 35; hkl 0 2 2, 41.34 deg, intensity 13; hkl 0 2 3, 46.51 deg, intensity 26; hkl 3 1 2, 46.66 deg, intensity 13; hkl 3 3 -1, 66.30 deg, intensity 14

Structural model:
```
data_Li2Co3O6
_cell_length_a 8.4570
_cell_length_b 4.8847
_cell_length_c 10.1419
_cell_angle_alpha 90.00
_cell_angle_beta 106.42
_cell_angle_gamma 90.00
_symmetry_space_group_name_H-M 'C 1 c 1'
_symmetry_Int_Tables_number 9
loop_
_symmetry_equiv_pos_as_xyz
'x,y,z'
'x,-y,z+1/2'
'x+1/2,y+1/2,z'
'x+1/2,-y+1/2,z+1/2'
loop_
_atom_site_label
_atom_site_fract_x
_atom_site_fract_y
_atom_site_fract_z
Li1 0.0000 0.0850 0.0000
Li2 0.3352 0.0872 0.0001
Co1 0.0880 0.0847 0.2576
Co2 0.2509 0.4174 0.7493
Co3 0.4219 0.0828 0.2577
O1 0.0494 0.4145 0.1510
O2 0.1262 0.2483 0.8583
O3 0.2187 0.0781 0.6521
O4 0.2915 0.2555 0.3583
O5 0.3881 0.4140 0.1524
O6 0.4479 0.2575 0.8583
```

***

# 2
Starting from a crystal structure in Alexandria, relaxed with GGA+U, the X-ray diffraction stick pattern of Li7Co2O6 was computed for Cu Kα (weighted mean of Kα1 and Kα2).
Kinematic intensities with the Lorentz-polarization factor, no thermal factor.

Top 6 peaks for 10° ≤ 2θ ≤ 80°, low angle first:
hkl 0 0 1, 17.09 deg, intensity 100; hkl 0 1 1, 18.71 deg, intensity 33; hkl -1 1 1, 26.79 deg, intensity 30; hkl 1 -1 0, 26.94 deg, intensity 42; hkl 0 2 1, 33.62 deg, intensity 38; hkl -2 2 1, 52.23 deg, intensity 30

Structural model:
```
data_Li7Co2O6
_cell_length_a 5.3297
_cell_length_b 5.3891
_cell_length_c 5.8362
_cell_angle_alpha 62.77
_cell_angle_beta 87.02
_cell_angle_gamma 81.63
_symmetry_space_group_name_H-M 'P 1'
_symmetry_Int_Tables_number 1
loop_
_symmetry_equiv_pos_as_xyz
'x,y,z'
loop_
_atom_site_label
_atom_site_fract_x
_atom_site_fract_y
_atom_site_fract_z
Li1 0.0000 0.0000 0.0000
Li2 0.0219 0.4885 0.6691
Li3 0.4083 0.8919 0.7288
Li4 0.4718 0.2963 0.9716
Li5 0.7031 0.2470 0.6377
Li6 0.7674 0.5851 0.9908
Li7 0.8549 0.9712 0.4264
Co1 0.1898 0.3554 0.3147
Co2 0.4987 0.7233 0.3141
O1 0.0684 0.1182 0.6283
O2 0.1007 0.3625 0.0170
O3 0.1306 0.7142 0.3289
O4 0.5615 0.3160 0.3058
O5 0.6255 0.9524 0.9719
O6 0.6443 0.6157 0.6576
```

***

# 3
Starting from a crystal structure in Alexandria, relaxed with GGA+U, the X-ray diffraction stick pattern of Li11Co2O8 was computed for Cu Kα (weighted mean of Kα1 and Kα2).
Kinematic intensities with the Lorentz-polarization factor, no thermal factor.

Top 6 peaks for 10° ≤ 2θ ≤ 80°, low angle first:
hkl 0 2 0, 18.88 deg, intensity 25; hkl 1 1 2, 23.41 deg, intensity 100; hkl 2 2 0, 27.13 deg, intensity 23; hkl 2 2 2, 33.37 deg, intensity 33; hkl 3 1 2, 36.37 deg, intensity 20; hkl 3 3 2, 45.77 deg, intensity 23

Structural model:
```
data_Li11Co2O8
_cell_length_a 9.1956
_cell_length_b 9.3989
_cell_length_c 9.3118
_cell_angle_alpha 90.00
_cell_angle_beta 90.00
_cell_angle_gamma 90.00
_symmetry_space_group_name_H-M 'C 2 2 21'
_symmetry_Int_Tables_number 20
loop_
_symmetry_equiv_pos_as_xyz
'x,y,z'
'-x,-y,z+1/2'
'x,-y,-z'
'-x,y,-z+1/2'
'x+1/2,y+1/2,z'
'-x+1/2,-y+1/2,z+1/2'
'x+1/2,-y+1/2,-z'
'-x+1/2,y+1/2,-z+1/2'
loop_
_atom_site_label
_atom_site_fract_x
_atom_site_fract_y
_atom_site_fract_z
Li1 0.0000 0.2313 0.2500
Li2 0.0013 0.2822 0.5191
Li3 0.2103 0.5000 0.5000
Li4 0.2144 0.5000 0.0000
Li5 0.2149 0.0016 0.7486
Li6 0.2287 0.2498 0.7237
Li7 0.2502 0.2471 0.4678
Co1 0.9998 0.0000 0.0000
Co2 0.0000 0.4939 0.7500
O1 0.1292 0.1276 0.0987
O2 0.1312 0.1236 0.5918
O3 0.1352 0.3673 0.3533
O4 0.1389 0.3792 0.8556
```

***

# 4
Starting from a crystal structure in Alexandria, relaxed with GGA+U, the X-ray diffraction stick pattern of Li4Co15O28 was computed for Cu Kα (weighted mean of Kα1 and Kα2).
Kinematic intensities with the Lorentz-polarization factor, no thermal factor.

Top 6 peaks for 10° ≤ 2θ ≤ 80°, low angle first:
hkl 1 1 -1, 18.02 deg, intensity 100; hkl 2 -3 0, 37.29 deg, intensity 28; hkl 2 0 -4, 44.29 deg, intensity 19; hkl 3 0 1, 44.33 deg, intensity 18; hkl 1 -4 1, 44.75 deg, intensity 18; hkl 4 1 0, 57.51 deg, intensity 10

Structural model:
```
data_Li4Co15O28
_cell_length_a 7.7236
_cell_length_b 8.1140
_cell_length_c 8.6494
_cell_angle_alpha 105.35
_cell_angle_beta 106.93
_cell_angle_gamma 102.06
_symmetry_space_group_name_H-M 'P -1'
_symmetry_Int_Tables_number 2
loop_
_symmetry_equiv_pos_as_xyz
'x,y,z'
'-x,-y,-z'
loop_
_atom_site_label
_atom_site_fract_x
_atom_site_fract_y
_atom_site_fract_z
Li1 0.0448 0.2170 0.2622
Li2 0.3417 0.0587 0.4062
Co1 0.0000 0.0000 0.5000
Co2 0.0665 0.7099 0.2877
Co3 0.1420 0.4296 0.0707
Co4 0.2122 0.1421 0.8577
Co5 0.2843 0.8565 0.6441
Co6 0.3591 0.5734 0.4282
Co7 0.4287 0.2865 0.2150
Co8 0.5000 0.0000 0.0000
Co9 0.5000 0.5000 0.0000
O1 0.0257 0.7737 0.5024
O2 0.0504 0.9464 0.2954
O3 0.1020 0.4829 0.2831
O4 0.1117 0.6557 0.0797
O5 0.1669 0.2043 0.0686
O6 0.1996 0.3772 0.8685
O7 0.2406 0.9138 0.8525
O8 0.2593 0.0830 0.6456
O9 0.3129 0.6297 0.6324
O10 0.3333 0.8049 0.4365
O11 0.3796 0.3408 0.4234
O12 0.4056 0.5165 0.2132
O13 0.4552 0.0579 0.2098
O14 0.4729 0.2352 0.0053
```

***

# 5
Starting from a crystal structure in Alexandria, relaxed with GGA+U, the X-ray diffraction stick pattern of LiCo6O7 was computed for Cu Kα (weighted mean of Kα1 and Kα2).
Kinematic intensities with the Lorentz-polarization factor, no thermal factor.

Top 6 peaks for 10° ≤ 2θ ≤ 80°, low angle first:
hkl 0 0 3, 36.46 deg, intensity 15; hkl 3 -1 1, 36.69 deg, intensity 46; hkl 1 2 2, 42.56 deg, intensity 100; hkl 3 -1 4, 61.60 deg, intensity 29; hkl 4 1 0, 61.91 deg, intensity 28; hkl 6 -2 2, 78.02 deg, intensity 13

Structural model:
```
data_LiCo6O7
_cell_length_a 7.9309
_cell_length_b 7.9309
_cell_length_c 7.3923
_cell_angle_alpha 90.00
_cell_angle_beta 90.00
_cell_angle_gamma 120.00
_symmetry_space_group_name_H-M 'R -3'
_symmetry_Int_Tables_number 148
_symmetry_space_group_name_Hall '-R 3'
loop_
_atom_site_label
_atom_site_fract_x
_atom_site_fract_y
_atom_site_fract_z
Li1 0.0000 0.0000 0.0000
Co1 0.0488 0.8087 0.6691
O1 0.0000 0.0000 0.5000
O2 0.0482 0.8052 0.1709
```

***

# 6
Starting from a crystal structure in Alexandria, relaxed with GGA+U, the X-ray diffraction stick pattern of Li3Co4O8 was computed for Cu Kα (weighted mean of Kα1 and Kα2).
Kinematic intensities with the Lorentz-polarization factor, no thermal factor.

Top 6 peaks for 10° ≤ 2θ ≤ 80°, low angle first:
hkl 0 0 2, 18.42 deg, intensity 100; hkl 4 0 -2, 36.33 deg, intensity 12; hkl 2 2 0, 37.29 deg, intensity 28; hkl 4 0 -4, 43.22 deg, intensity 21; hkl 2 2 2, 45.08 deg, intensity 37; hkl 6 2 -2, 65.17 deg, intensity 10

Structural model:
```
data_Li3Co4O8
_cell_length_a 9.9756
_cell_length_b 5.6428
_cell_length_c 10.3333
_cell_angle_alpha 90.00
_cell_angle_beta 111.21
_cell_angle_gamma 90.00
_symmetry_space_group_name_H-M 'C 1 2/c 1'
_symmetry_Int_Tables_number 15
loop_
_symmetry_equiv_pos_as_xyz
'x,y,z'
'-x,-y,-z'
'-x,y,-z+1/2'
'x,-y,z+1/2'
'x+1/2,y+1/2,z'
'-x+1/2,-y+1/2,-z'
'-x+1/2,y+1/2,-z+1/2'
'x+1/2,-y+1/2,z+1/2'
loop_
_atom_site_label
_atom_site_fract_x
_atom_site_fract_y
_atom_site_fract_z
Li1 0.0000 0.2442 0.2500
Li2 0.2369 0.4922 0.7549
Co1 0.0000 0.0000 0.0000
Co2 0.0000 0.5000 0.0000
Co3 0.2500 0.2500 0.0000
Co4 0.2500 0.2500 0.5000
O1 0.1112 0.2458 0.1157
O2 0.1248 0.2483 0.6041
O3 0.1268 0.0007 0.3992
O4 0.1290 0.4985 0.8978
```

***

# 7
Starting from a crystal structure in Alexandria, relaxed with GGA+U, the X-ray diffraction stick pattern of Li2Co3O6 was computed for Cu Kα (weighted mean of Kα1 and Kα2).
Kinematic intensities with the Lorentz-polarization factor, no thermal factor.

Top 6 peaks for 10° ≤ 2θ ≤ 80°, low angle first:
hkl 0 0 2, 17.73 deg, intensity 100; hkl 3 1 1, 37.17 deg, intensity 30; hkl 0 2 2, 41.04 deg, intensity 14; hkl 3 1 3, 45.43 deg, intensity 30; hkl 3 1 5, 59.22 deg, intensity 16; hkl 3 3 1, 66.39 deg, intensity 14

Structural model:
```
data_Li2Co3O6
_cell_length_a 8.6883
_cell_length_b 4.8978
_cell_length_c 10.0026
_cell_angle_alpha 90.00
_cell_angle_beta 90.00
_cell_angle_gamma 90.00
_symmetry_space_group_name_H-M 'C m c e'
_symmetry_Int_Tables_number 64
_symmetry_space_group_name_Hall '-C 2ac 2'
loop_
_atom_site_label
_atom_site_fract_x
_atom_site_fract_y
_atom_site_fract_z
Li1 0.2500 0.0868 0.2500
Co1 0.0000 0.0000 0.0000
Co2 0.1664 0.0000 0.5000
O1 0.0000 0.1784 0.5945
O2 0.1769 0.1657 0.8960
```

***

# 8
Starting from a crystal structure in Alexandria, relaxed with GGA+U, the X-ray diffraction stick pattern of LiCoP4O12 was computed for Cu Kα (weighted mean of Kα1 and Kα2).
Kinematic intensities with the Lorentz-polarization factor, no thermal factor.

Top 6 peaks for 10° ≤ 2θ ≤ 80°, low angle first:
hkl 1 1 -1, 14.38 deg, intensity 47; hkl 1 1 1, 19.17 deg, intensity 45; hkl 2 0 -2, 19.49 deg, intensity 30; hkl 3 1 -1, 24.78 deg, intensity 42; hkl 0 2 2, 29.67 deg, intensity 100; hkl 3 1 -3, 31.35 deg, intensity 25

Structural model:
```
data_LiCoP4O12
_cell_length_a 11.9644
_cell_length_b 8.3614
_cell_length_c 9.8096
_cell_angle_alpha 90.00
_cell_angle_beta 117.77
_cell_angle_gamma 90.00
_symmetry_space_group_name_H-M 'C 1 2/c 1'
_symmetry_Int_Tables_number 15
loop_
_symmetry_equiv_pos_as_xyz
'x,y,z'
'-x,-y,-z'
'-x,y,-z+1/2'
'x,-y,z+1/2'
'x+1/2,y+1/2,z'
'-x+1/2,-y+1/2,-z'
'-x+1/2,y+1/2,-z+1/2'
'x+1/2,-y+1/2,z+1/2'
loop_
_atom_site_label
_atom_site_fract_x
_atom_site_fract_y
_atom_site_fract_z
Li1 0.0000 0.0430 0.2500
Co1 0.2500 0.2500 0.5000
P1 0.0037 0.2630 0.9723
P2 0.1897 0.4915 0.1965
O1 0.0265 0.1188 0.9042
O2 0.0624 0.2526 0.4269
O3 0.0708 0.3970 0.6610
O4 0.1379 0.3521 0.0704
O5 0.2130 0.0844 0.3297
O6 0.2334 0.4222 0.3546
```

***

What is the formula in the third record?
Li11Co2O8